1.
# Hf5Fe2Pt
Calculated powder diffraction line list, a wavelength of 1.5418 Å. Input: a GGA-PBE-relaxed structure.

Principal peaks in the range 2θ from 5° to 70°, in order of falling intensity:
2θ (°)	d/Å	I_rel
36.5	2.462	100
42.5	2.129	64
38.8	2.322	53
33.7	2.660	45
30.5	2.931	29
65.6	1.422	24
37.8	2.380	19
60.7	1.525	16
59.0	1.565	16
62.3	1.490	13

Crystal structure
```
Hf5Fe2Pt
1.0
-3.366 3.366 6.414
3.366 -3.366 6.414
3.366 3.366 -6.414
Hf Fe Pt
10 4 2
Cartesian
0.000 0.000 0.000
4.465 1.099 -1.836
1.099 2.268 -1.836
4.465 1.099 1.836
1.099 2.268 1.836
0.000 0.000 6.414
2.268 1.099 4.578
-1.099 2.268 4.578
2.268 1.099 8.250
-1.099 2.268 8.250
2.440 0.926 0.000
2.440 -0.926 6.414
0.926 4.292 0.000
0.926 2.440 6.414
0.000 0.000 3.207
0.000 0.000 9.621
```

***

2.
# GaAsRh4
Calculated powder diffraction line list, a wavelength of 1.5418 Å. Input: a GGA-PBE-relaxed structure.

Principal peaks in the range 2θ from 5° to 70°, in order of falling intensity:
2θ (°)	d/Å	I_rel
41.8	2.163	100
41.2	2.193	85
39.4	2.289	61
44.5	2.035	60
36.1	2.491	36
40.2	2.243	32
48.5	1.877	26
38.8	2.319	22
67.9	1.380	18
61.5	1.507	18

Crystal structure
```
GaAsRh4
1.0
4.071 0.000 0.000
0.000 7.662 0.000
0.000 0.000 5.535
Ga As Rh
2 2 8
Cartesian
0.000 1.061 0.000
0.000 6.601 2.768
2.035 2.647 3.203
2.035 5.015 0.435
0.000 1.449 2.484
0.000 3.444 4.481
0.000 4.217 1.713
0.000 6.213 5.252
2.035 0.311 4.138
2.035 2.519 0.708
2.035 5.143 3.476
2.035 7.350 1.371
```

***

Copy entry 2 word for word.
# GaAsRh4
Calculated powder diffraction line list, a wavelength of 1.5418 Å. Input: a GGA-PBE-relaxed structure.

Principal peaks in the range 2θ from 5° to 70°, in order of falling intensity:
2θ (°)	d/Å	I_rel
41.8	2.163	100
41.2	2.193	85
39.4	2.289	61
44.5	2.035	60
36.1	2.491	36
40.2	2.243	32
48.5	1.877	26
38.8	2.319	22
67.9	1.380	18
61.5	1.507	18

Crystal structure
```
GaAsRh4
1.0
4.071 0.000 0.000
0.000 7.662 0.000
0.000 0.000 5.535
Ga As Rh
2 2 8
Cartesian
0.000 1.061 0.000
0.000 6.601 2.768
2.035 2.647 3.203
2.035 5.015 0.435
0.000 1.449 2.484
0.000 3.444 4.481
0.000 4.217 1.713
0.000 6.213 5.252
2.035 0.311 4.138
2.035 2.519 0.708
2.035 5.143 3.476
2.035 7.350 1.371
```